Diffraction record for Pr5S2N3Cl2. The powder XRD pattern is simulated, not measured: it uses DFT lattice parameters and positions (PBE) and Cu Kα (weighted mean of Kα1 and Kα2).

Cell and atoms:
Cell lengths 8.2569, 8.2569, 17.1133 Å; angles 101.73, 101.73, 28.59 degrees
Fractional positions:
Pr1 0.0141 0.0141 0.1636
Pr2 0.0742 0.0742 0.5952
Pr3 0.2611 0.2611 0.2083
Pr4 0.3589 0.3589 0.5741
Pr5 0.3870 0.3870 0.9666
Pr6 0.6130 0.6130 0.0334
Pr7 0.6411 0.6411 0.4259
Pr8 0.7389 0.7389 0.7917
Pr9 0.9258 0.9258 0.4048
Pr10 0.9859 0.9859 0.8364
S1 0.2870 0.2870 0.4042
S2 0.4553 0.4553 0.2907
S3 0.5447 0.5447 0.7093
S4 0.7130 0.7130 0.5958
N1 0.0746 0.0746 0.4547
N2 0.1453 0.1453 0.1120
N3 0.4913 0.4913 0.0891
N4 0.5087 0.5087 0.9109
N5 0.8547 0.8547 0.8880
N6 0.9254 0.9254 0.5453
Cl1 0.1836 0.1836 0.8914
Cl2 0.3400 0.3400 0.7396
Cl3 0.6600 0.6600 0.2604
Cl4 0.8164 0.8164 0.1086

Peak list (8 most intense, 10 to 80 degrees two-theta, low angle first)
two_theta  I/Imax
26.6  43
27.0  100
27.1  79
27.8  49
30.3  58
35.7  56
41.4  38
44.4  39


Diffraction record for TbPr2N2Cl2. The powder XRD pattern is simulated, not measured: it uses DFT lattice parameters and positions (PBE) and Cu Kα (weighted mean of Kα1 and Kα2).

Cell and atoms:
Cell lengths 8.2736, 8.2736, 8.2736 Å; angles 148.22, 148.22, 45.56 degrees
Fractional positions:
Tb1 0.0000 0.0000 0.0000
Pr1 0.4016 0.4016 0.0000
Pr2 0.5984 0.5984 0.0000
N1 0.0000 0.5000 0.5000
N2 0.5000 0.0000 0.5000
Cl1 0.1838 0.1838 0.0000
Cl2 0.8162 0.8162 0.0000

Peak list (8 most intense, 10 to 80 degrees two-theta, low angle first)
two_theta  I/Imax
11.6  74
26.3  24
27.8  88
30.3  18
35.5  100
39.8  41
54.4  58
65.1  16